Record 1
This entry pairs a crystal structure of BaNdV4O12 with its computed powder diffraction line list. Radiation: Cu Kα. Structure: a structure optimized by DFT (PBE+U).
No peak broadening, texture or thermal motion is included.

```
data_BaNdV4O12
_chemical_formula_sum 'Ba1 Nd1 V4 O12'
_space_group_name_H-M_alt 'P 1'
_space_group_IT_number 1
_space_group_name_Hall 'P 1'
_cell_length_a 5.4067
_cell_length_b 5.4067
_cell_length_c 7.5984
_cell_angle_alpha 90.00
_cell_angle_beta 90.00
_cell_angle_gamma 90.00
loop_
_atom_site_label
_atom_site_type_symbol
_atom_site_fract_x
_atom_site_fract_y
_atom_site_fract_z
Ba1 Ba 0.0000 0.0000 0.0000
Nd1 Nd 0.5000 0.5000 0.5000
V1 V 0.0000 0.5000 0.2518
V2 V 0.0000 0.5000 0.7482
V3 V 0.5000 0.0000 0.2518
V4 V 0.5000 0.0000 0.7482
O1 O 0.0000 0.5000 0.0000
O2 O 0.0000 0.5000 0.5000
O3 O 0.2554 0.2554 0.2603
O4 O 0.2554 0.2554 0.7397
O5 O 0.2554 0.7446 0.2603
O6 O 0.2554 0.7446 0.7397
O7 O 0.5000 0.0000 0.0000
O8 O 0.5000 0.0000 0.5000
O9 O 0.7446 0.2554 0.2603
O10 O 0.7446 0.2554 0.7397
O11 O 0.7446 0.7446 0.2603
O12 O 0.7446 0.7446 0.7397
```

Top 10 peaks for 2θ from 5° to 70°, sorted by position:
2θ (°)	d (Å)	Rel. int.
20.16	4.405	100
33.14	2.703	32
33.25	2.695	63
39.09	2.304	36
39.28	2.294	18
40.97	2.203	15
47.57	1.912	29
52.31	1.749	16
59.27	1.559	24
69.80	1.347	16

---

Record 2
This entry pairs a crystal structure of BaNiO3 with its computed powder diffraction line list. Radiation: Cu Kα. Structure: a structure optimized by DFT (PBE+U).
No peak broadening, texture or thermal motion is included.

```
data_BaNiO3
_chemical_formula_sum 'Ba2 Ni2 O6'
_space_group_name_H-M_alt 'P 1'
_space_group_IT_number 1
_space_group_name_Hall 'P 1'
_cell_length_a 5.7189
_cell_length_b 5.7189
_cell_length_c 4.8261
_cell_angle_alpha 90.00
_cell_angle_beta 90.00
_cell_angle_gamma 120.00
loop_
_atom_site_label
_atom_site_type_symbol
_atom_site_fract_x
_atom_site_fract_y
_atom_site_fract_z
Ba1 Ba 0.3333 0.6667 0.0000
Ba2 Ba 0.6667 0.3333 0.5000
Ni1 Ni 0.0000 0.0000 0.2386
Ni2 Ni 0.0000 0.0000 0.7386
O1 O 0.1464 0.2929 0.4884
O2 O 0.1464 0.8536 0.4884
O3 O 0.2929 0.1464 0.9884
O4 O 0.7071 0.8536 0.4884
O5 O 0.8536 0.1464 0.9884
O6 O 0.8536 0.7071 0.9884
```

Top 10 peaks for 2θ from 5° to 70°, sorted by position:
2θ (°)	d (Å)	Rel. int.
25.77	3.456	100
31.28	2.859	96
40.96	2.203	64
41.63	2.169	35
52.43	1.745	24
52.98	1.728	28
55.68	1.651	18
62.83	1.479	27
65.26	1.430	17
69.70	1.349	12

---

Record 3
This entry pairs a crystal structure of BaNiO3 with its computed powder diffraction line list. Radiation: Cu Kα. Structure: a structure optimized by DFT (PBE+U).
No peak broadening, texture or thermal motion is included.

```
data_BaNiO3
_chemical_formula_sum 'Ba1 Ni1 O3'
_space_group_name_H-M_alt 'P 1'
_space_group_IT_number 1
_space_group_name_Hall 'P 1'
_cell_length_a 4.0307
_cell_length_b 4.0307
_cell_length_c 4.0307
_cell_angle_alpha 90.00
_cell_angle_beta 90.00
_cell_angle_gamma 90.00
loop_
_atom_site_label
_atom_site_type_symbol
_atom_site_fract_x
_atom_site_fract_y
_atom_site_fract_z
Ba1 Ba 0.0000 0.0000 0.0000
Ni1 Ni 0.5000 0.5000 0.5000
O1 O 0.0000 0.5000 0.5000
O2 O 0.5000 0.0000 0.5000
O3 O 0.5000 0.5000 0.0000
```

Top 7 peaks for 2θ from 5° to 70°, sorted by position:
2θ (°)	d (Å)	Rel. int.
22.05	4.031	8
31.39	2.850	100
38.69	2.327	15
44.98	2.015	33
50.64	1.803	4
55.87	1.646	39
65.50	1.425	20

---

Record 4
This entry pairs a crystal structure of BaNiO3 with its computed powder diffraction line list. Radiation: Cu Kα. Structure: a structure optimized by DFT (PBE+U).
No peak broadening, texture or thermal motion is included.

```
data_BaNiO3
_chemical_formula_sum 'Ba2 Ni2 O6'
_space_group_name_H-M_alt 'P 1'
_space_group_IT_number 1
_space_group_name_Hall 'P 1'
_cell_length_a 5.7189
_cell_length_b 5.7189
_cell_length_c 4.8251
_cell_angle_alpha 90.00
_cell_angle_beta 90.00
_cell_angle_gamma 120.00
loop_
_atom_site_label
_atom_site_type_symbol
_atom_site_fract_x
_atom_site_fract_y
_atom_site_fract_z
Ba1 Ba 0.3333 0.6667 0.2500
Ba2 Ba 0.6667 0.3333 0.7500
Ni1 Ni 0.0000 0.0000 0.0000
Ni2 Ni 0.0000 0.0000 0.5000
O1 O 0.1465 0.2929 0.7500
O2 O 0.1465 0.8535 0.7500
O3 O 0.2929 0.1465 0.2500
O4 O 0.7071 0.8535 0.7500
O5 O 0.8535 0.1465 0.2500
O6 O 0.8535 0.7071 0.2500
```

Top 10 peaks for 2θ from 5° to 70°, sorted by position:
2θ (°)	d (Å)	Rel. int.
25.78	3.456	100
31.28	2.859	96
40.96	2.203	64
41.64	2.169	35
52.43	1.745	24
52.99	1.728	29
55.67	1.651	18
62.83	1.479	27
65.26	1.430	17
69.72	1.349	12

---

Record 5
This entry pairs a crystal structure of Ba2Ni3O8 with its computed powder diffraction line list. Radiation: Cu Kα. Structure: a structure optimized by DFT (PBE+U).
No peak broadening, texture or thermal motion is included.

```
data_Ba2Ni3O8
_chemical_formula_sum 'Ba2 Ni3 O8'
_space_group_name_H-M_alt 'P 1'
_space_group_IT_number 1
_space_group_name_Hall 'P 1'
_cell_length_a 3.9043
_cell_length_b 3.9043
_cell_length_c 11.8497
_cell_angle_alpha 90.00
_cell_angle_beta 90.00
_cell_angle_gamma 90.00
loop_
_atom_site_label
_atom_site_type_symbol
_atom_site_fract_x
_atom_site_fract_y
_atom_site_fract_z
Ba1 Ba 0.0000 0.0000 0.1734
Ba2 Ba 0.0000 0.0000 0.8266
Ni1 Ni 0.5000 0.5000 0.0000
Ni2 Ni 0.5000 0.5000 0.3480
Ni3 Ni 0.5000 0.5000 0.6520
O1 O 0.0000 0.5000 0.0000
O2 O 0.0000 0.5000 0.3510
O3 O 0.0000 0.5000 0.6490
O4 O 0.5000 0.0000 0.0000
O5 O 0.5000 0.0000 0.3510
O6 O 0.5000 0.0000 0.6490
O7 O 0.5000 0.5000 0.1614
O8 O 0.5000 0.5000 0.8386
```

Top 10 peaks for 2θ from 5° to 70°, sorted by position:
2θ (°)	d (Å)	Rel. int.
7.46	11.850	64
14.95	5.925	15
24.00	3.708	15
27.36	3.260	21
32.24	2.777	100
32.43	2.761	43
46.52	1.952	34
57.36	1.606	16
57.73	1.597	37
67.46	1.388	17

---

Record 6
This entry pairs a crystal structure of Ba6Ni5O15 with its computed powder diffraction line list. Radiation: Cu Kα. Structure: a structure optimized by DFT (PBE+U).
No peak broadening, texture or thermal motion is included.

```
data_Ba6Ni5O15
_chemical_formula_sum 'Ba6 Ni5 O15'
_space_group_name_H-M_alt 'P 1'
_space_group_IT_number 1
_space_group_name_Hall 'P 1'
_cell_length_a 7.2136
_cell_length_b 7.2136
_cell_length_c 7.2136
_cell_angle_alpha 88.27
_cell_angle_beta 88.27
_cell_angle_gamma 88.27
loop_
_atom_site_label
_atom_site_type_symbol
_atom_site_fract_x
_atom_site_fract_y
_atom_site_fract_z
Ba1 Ba 0.0000 0.3364 0.6636
Ba2 Ba 0.1488 0.8512 0.5000
Ba3 Ba 0.3364 0.6636 0.0000
Ba4 Ba 0.5000 0.1488 0.8512
Ba5 Ba 0.6636 0.0000 0.3364
Ba6 Ba 0.8512 0.5000 0.1488
Ni1 Ni 0.0950 0.0950 0.0950
Ni2 Ni 0.2900 0.2900 0.2900
Ni3 Ni 0.5000 0.5000 0.5000
Ni4 Ni 0.7100 0.7100 0.7100
Ni5 Ni 0.9050 0.9050 0.9050
O1 O 0.0000 0.8566 0.1434
O2 O 0.0368 0.1927 0.3290
O3 O 0.1434 0.0000 0.8566
O4 O 0.1927 0.3290 0.0368
O5 O 0.2337 0.5287 0.3656
O6 O 0.3290 0.0368 0.1927
O7 O 0.3656 0.2337 0.5287
O8 O 0.4713 0.7663 0.6344
O9 O 0.5287 0.3656 0.2337
O10 O 0.6344 0.4713 0.7663
O11 O 0.6710 0.8073 0.9632
O12 O 0.7663 0.6344 0.4713
O13 O 0.8073 0.9632 0.6710
O14 O 0.8566 0.1434 0.0000
O15 O 0.9632 0.6710 0.8073
```

Top 10 peaks for 2θ from 5° to 70°, sorted by position:
2θ (°)	d (Å)	Rel. int.
27.34	3.262	100
30.83	2.900	97
41.67	2.167	55
42.14	2.144	9
44.72	2.027	9
46.02	1.972	11
52.73	1.736	26
53.12	1.724	19
54.83	1.674	17
64.23	1.450	16

---

Record 7
This entry pairs a crystal structure of Ba3NiO4 with its computed powder diffraction line list. Radiation: Cu Kα. Structure: a structure optimized by DFT (PBE+U).
No peak broadening, texture or thermal motion is included.

```
data_Ba3NiO4
_chemical_formula_sum 'Ba6 Ni2 O8'
_space_group_name_H-M_alt 'P 1'
_space_group_IT_number 1
_space_group_name_Hall 'P 1'
_cell_length_a 7.2446
_cell_length_b 7.2446
_cell_length_c 7.2446
_cell_angle_alpha 66.62
_cell_angle_beta 66.62
_cell_angle_gamma 66.62
loop_
_atom_site_label
_atom_site_type_symbol
_atom_site_fract_x
_atom_site_fract_y
_atom_site_fract_z
Ba1 Ba 0.1649 0.7500 0.3351
Ba2 Ba 0.2500 0.6649 0.8351
Ba3 Ba 0.3351 0.1649 0.7500
Ba4 Ba 0.6649 0.8351 0.2500
Ba5 Ba 0.7500 0.3351 0.1649
Ba6 Ba 0.8351 0.2500 0.6649
Ni1 Ni 0.2500 0.2500 0.2500
Ni2 Ni 0.7500 0.7500 0.7500
O1 O 0.0000 0.0000 0.0000
O2 O 0.0172 0.4828 0.2500
O3 O 0.2500 0.0172 0.4828
O4 O 0.4828 0.2500 0.0172
O5 O 0.5000 0.5000 0.5000
O6 O 0.5172 0.7500 0.9828
O7 O 0.7500 0.9828 0.5172
O8 O 0.9828 0.5172 0.7500
```

Top 10 peaks for 2θ from 5° to 70°, sorted by position:
2θ (°)	d (Å)	Rel. int.
27.50	3.244	100
27.99	3.188	84
31.95	2.801	58
33.64	2.664	65
34.86	2.574	52
39.22	2.297	21
43.98	2.059	26
47.90	1.899	41
50.91	1.794	20
55.29	1.661	27

---

Record 8
This entry pairs a crystal structure of Ba2NiOsO6 with its computed powder diffraction line list. Radiation: Cu Kα. Structure: a structure optimized by DFT (PBE+U).
No peak broadening, texture or thermal motion is included.

```
data_Ba2NiOsO6
_chemical_formula_sum 'Ba6 Ni3 Os3 O18'
_space_group_name_H-M_alt 'P 1'
_space_group_IT_number 1
_space_group_name_Hall 'P 1'
_cell_length_a 5.8145
_cell_length_b 5.8145
_cell_length_c 14.2633
_cell_angle_alpha 90.10
_cell_angle_beta 90.10
_cell_angle_gamma 59.90
loop_
_atom_site_label
_atom_site_type_symbol
_atom_site_fract_x
_atom_site_fract_y
_atom_site_fract_z
Ba1 Ba 0.0000 0.0000 0.0000
Ba2 Ba 0.0000 0.0000 0.3129
Ba3 Ba 0.3330 0.3330 0.5061
Ba4 Ba 0.3333 0.3333 0.8198
Ba5 Ba 0.6661 0.6661 0.1593
Ba6 Ba 0.6664 0.6664 0.6601
Ni1 Ni 0.9997 0.9997 0.5610
Ni2 Ni 0.3323 0.3323 0.2582
Ni3 Ni 0.6662 0.6662 0.9097
Os1 Os 0.9997 0.9997 0.7508
Os2 Os 0.3331 0.3331 0.0686
Os3 Os 0.6664 0.6664 0.4098
O1 O 0.0118 0.4939 0.9934
O2 O 0.1520 0.1520 0.6649
O3 O 0.1527 0.6943 0.6644
O4 O 0.1798 0.1798 0.1548
O5 O 0.1813 0.6375 0.1549
O6 O 0.3222 0.8388 0.8262
O7 O 0.3485 0.8260 0.4874
O8 O 0.4939 0.0118 0.9934
O9 O 0.4950 0.4950 0.9932
O10 O 0.5069 0.9844 0.3319
O11 O 0.5085 0.5085 0.3310
O12 O 0.6375 0.1813 0.1549
O13 O 0.6943 0.1527 0.6644
O14 O 0.8252 0.8252 0.4876
O15 O 0.8260 0.3485 0.4874
O16 O 0.8388 0.3222 0.8262
O17 O 0.8389 0.8389 0.8259
O18 O 0.9844 0.5069 0.3319
```

Top 10 peaks for 2θ from 5° to 70°, sorted by position:
2θ (°)	d (Å)	Rel. int.
18.69	4.748	19
25.78	3.456	11
30.74	2.908	100
30.80	2.903	25
36.20	2.481	15
44.01	2.057	15
44.08	2.054	13
48.19	1.888	13
54.63	1.680	16
54.72	1.677	23

---

Record 9
This entry pairs a crystal structure of Ba2NiP2O8 with its computed powder diffraction line list. Radiation: Cu Kα. Structure: a structure optimized by DFT (PBE+U).
No peak broadening, texture or thermal motion is included.

```
data_Ba2NiP2O8
_chemical_formula_sum 'Ba8 Ni4 P8 O32'
_space_group_name_H-M_alt 'P 1'
_space_group_IT_number 1
_space_group_name_Hall 'P 1'
_cell_length_a 5.3943
_cell_length_b 8.9346
_cell_length_c 17.0489
_cell_angle_alpha 90.00
_cell_angle_beta 107.63
_cell_angle_gamma 90.00
loop_
_atom_site_label
_atom_site_type_symbol
_atom_site_fract_x
_atom_site_fract_y
_atom_site_fract_z
Ba1 Ba 0.0271 0.1538 0.2697
Ba2 Ba 0.0271 0.3462 0.7697
Ba3 Ba 0.1794 0.7030 0.9813
Ba4 Ba 0.1794 0.7970 0.4813
Ba5 Ba 0.8206 0.2030 0.5187
Ba6 Ba 0.8206 0.2970 0.0187
Ba7 Ba 0.9729 0.6538 0.2303
Ba8 Ba 0.9729 0.8462 0.7303
Ni1 Ni 0.4079 0.0116 0.1333
Ni2 Ni 0.4079 0.4884 0.6333
Ni3 Ni 0.5921 0.5116 0.3667
Ni4 Ni 0.5921 0.9884 0.8667
P1 P 0.1898 0.0862 0.9218
P2 P 0.1898 0.4138 0.4218
P3 P 0.4183 0.1125 0.6666
P4 P 0.4183 0.3875 0.1666
P5 P 0.5817 0.6125 0.8334
P6 P 0.5817 0.8875 0.3334
P7 P 0.8102 0.5862 0.5782
P8 P 0.8102 0.9138 0.0782
O1 O 0.0946 0.6342 0.6268
O2 O 0.0946 0.8658 0.1268
O3 O 0.2233 0.0884 0.0143
O4 O 0.2233 0.4116 0.5143
O5 O 0.2421 0.0301 0.5890
O6 O 0.2421 0.4699 0.0890
O7 O 0.2433 0.5700 0.3889
O8 O 0.2433 0.9300 0.8889
O9 O 0.2938 0.6127 0.8340
O10 O 0.2938 0.8873 0.3340
O11 O 0.3122 0.2241 0.1678
O12 O 0.3122 0.2759 0.6678
O13 O 0.3854 0.1950 0.9000
O14 O 0.3854 0.3050 0.4000
O15 O 0.3921 0.0300 0.7446
O16 O 0.3921 0.4700 0.2446
O17 O 0.6079 0.5300 0.7554
O18 O 0.6079 0.9700 0.2554
O19 O 0.6146 0.6950 0.6000
O20 O 0.6146 0.8050 0.1000
O21 O 0.6878 0.7241 0.3322
O22 O 0.6878 0.7759 0.8322
O23 O 0.7062 0.1127 0.6660
O24 O 0.7062 0.3873 0.1660
O25 O 0.7567 0.0700 0.1111
O26 O 0.7567 0.4300 0.6111
O27 O 0.7579 0.5301 0.9110
O28 O 0.7579 0.9699 0.4110
O29 O 0.7767 0.5884 0.4857
O30 O 0.7767 0.9116 0.9857
O31 O 0.9054 0.1342 0.8732
O32 O 0.9054 0.3658 0.3732
```

Top 10 peaks for 2θ from 5° to 70°, sorted by position:
2θ (°)	d (Å)	Rel. int.
25.19	3.535	65
25.50	3.493	86
25.85	3.446	70
26.45	3.369	55
28.07	3.178	93
28.26	3.158	100
29.73	3.005	57
31.95	2.801	61
33.22	2.697	71
45.81	1.981	46

---

Record 10
This entry pairs a crystal structure of Ba3V2Ni6P4O24 with its computed powder diffraction line list. Radiation: Cu Kα. Structure: a structure optimized by DFT (PBE+U).
No peak broadening, texture or thermal motion is included.

```
data_Ba3V2Ni6P4O24
_chemical_formula_sum 'Ba3 V2 Ni6 P4 O24'
_space_group_name_H-M_alt 'P 1'
_space_group_IT_number 1
_space_group_name_Hall 'P 1'
_cell_length_a 4.9207
_cell_length_b 9.7450
_cell_length_c 10.9150
_cell_angle_alpha 101.97
_cell_angle_beta 103.02
_cell_angle_gamma 90.05
loop_
_atom_site_label
_atom_site_type_symbol
_atom_site_fract_x
_atom_site_fract_y
_atom_site_fract_z
Ba1 Ba 0.0000 0.0000 0.0000
Ba2 Ba 0.3316 0.6678 0.6608
Ba3 Ba 0.6662 0.3299 0.3265
V1 V 0.2855 0.2850 0.5677
V2 V 0.9522 0.6178 0.9008
Ni1 Ni 0.1134 0.7173 0.2259
Ni2 Ni 0.2182 0.9421 0.4366
Ni3 Ni 0.4477 0.3800 0.8925
Ni4 Ni 0.5576 0.6134 0.1102
Ni5 Ni 0.7802 0.0439 0.5546
Ni6 Ni 0.8887 0.2741 0.7743
P1 P 0.0497 0.3767 0.0954
P2 P 0.3822 0.0413 0.7605
P3 P 0.6168 0.9505 0.2348
P4 P 0.7144 0.7084 0.4279
O1 O 0.0671 0.0804 0.7351
O2 O 0.0700 0.1353 0.4837
O3 O 0.0928 0.2687 0.1810
O4 O 0.1278 0.3093 0.9645
O5 O 0.1937 0.3630 0.7122
O6 O 0.2375 0.4040 0.4720
O7 O 0.2427 0.5119 0.1654
O8 O 0.3080 0.5804 0.9291
O9 O 0.3990 0.7473 0.4028
O10 O 0.4212 0.8161 0.1640
O11 O 0.4256 0.9342 0.8470
O12 O 0.4595 0.9755 0.6290
O13 O 0.5339 0.0166 0.3649
O14 O 0.5755 0.0581 0.1486
O15 O 0.5756 0.1764 0.8317
O16 O 0.6389 0.2427 0.5913
O17 O 0.7343 0.4152 0.0702
O18 O 0.7339 0.4687 0.8181
O19 O 0.7567 0.6011 0.5142
O20 O 0.7947 0.6415 0.2974
O21 O 0.8666 0.6974 0.0465
O22 O 0.9040 0.7371 0.8054
O23 O 0.9102 0.8427 0.4988
O24 O 0.9327 0.9126 0.2604
```

Top 10 peaks for 2θ from 5° to 70°, sorted by position:
2θ (°)	d (Å)	Rel. int.
21.17	4.197	27
22.15	4.013	32
22.48	3.954	25
28.13	3.172	100
33.78	2.653	48
36.49	2.462	74
43.29	2.090	50
60.01	1.542	35
60.69	1.526	18
65.69	1.421	22

---

Repeat the first record exactly.
This entry pairs a crystal structure of BaNdV4O12 with its computed powder diffraction line list. Radiation: Cu Kα. Structure: a structure optimized by DFT (PBE+U).
No peak broadening, texture or thermal motion is included.

```
data_BaNdV4O12
_chemical_formula_sum 'Ba1 Nd1 V4 O12'
_space_group_name_H-M_alt 'P 1'
_space_group_IT_number 1
_space_group_name_Hall 'P 1'
_cell_length_a 5.4067
_cell_length_b 5.4067
_cell_length_c 7.5984
_cell_angle_alpha 90.00
_cell_angle_beta 90.00
_cell_angle_gamma 90.00
loop_
_atom_site_label
_atom_site_type_symbol
_atom_site_fract_x
_atom_site_fract_y
_atom_site_fract_z
Ba1 Ba 0.0000 0.0000 0.0000
Nd1 Nd 0.5000 0.5000 0.5000
V1 V 0.0000 0.5000 0.2518
V2 V 0.0000 0.5000 0.7482
V3 V 0.5000 0.0000 0.2518
V4 V 0.5000 0.0000 0.7482
O1 O 0.0000 0.5000 0.0000
O2 O 0.0000 0.5000 0.5000
O3 O 0.2554 0.2554 0.2603
O4 O 0.2554 0.2554 0.7397
O5 O 0.2554 0.7446 0.2603
O6 O 0.2554 0.7446 0.7397
O7 O 0.5000 0.0000 0.0000
O8 O 0.5000 0.0000 0.5000
O9 O 0.7446 0.2554 0.2603
O10 O 0.7446 0.2554 0.7397
O11 O 0.7446 0.7446 0.2603
O12 O 0.7446 0.7446 0.7397
```

Top 10 peaks for 2θ from 5° to 70°, sorted by position:
2θ (°)	d (Å)	Rel. int.
20.16	4.405	100
33.14	2.703	32
33.25	2.695	63
39.09	2.304	36
39.28	2.294	18
40.97	2.203	15
47.57	1.912	29
52.31	1.749	16
59.27	1.559	24
69.80	1.347	16